(1)
Theoretical powder diffractogram of Tm8GeSe6 for CuKα, from a structure optimized by DFT (PBE).
Peak positions follow from Bragg's law for the DFT cell and can differ from measured ones.

Cell lengths 10.3175, 10.3175, 3.9627 Å; angles 90.00, 90.00, 120.00 degrees
Space group P-3 (No. 147)
One atom of each set of equivalent atoms:
1 Tm 0.0313 0.3031 0.2454 x6
2 Tm 0.3333 0.6667 0.7521 x2
3 Ge 0.0000 0.0000 0.0000 x1
4 Se 0.1295 0.6500 0.2497 x6

Top 10 peaks for 2θ = 10–80°, sorted by position:
- hkl 2 -1 1, 2θ = 28.40°, I 55
- hkl 3 0 0, 2θ = 30.00°, I 69
- hkl 0 2 1, 2θ = 30.15°, I 48
- hkl 3 -1 1, 2θ = 34.91°, I 100
- hkl 1 3 0, 2θ = 36.25°, I 38
- hkl 2 2 1, 2θ = 41.79°, I 44
- hkl 0 0 2, 2θ = 45.80°, I 23
- hkl 3 2 1, 2θ = 50.10°, I 40
- hkl 6 -5 1, 2θ = 62.42°, I 20
- hkl 3 5 1, 2θ = 78.77°, I 22



(2)
Theoretical powder diffractogram of TmGeSe3 for CuKα, from a structure optimized by DFT (PBE).
Peak positions follow from Bragg's law for the DFT cell and can differ from measured ones.

Cell lengths 4.3918, 22.3965, 6.4508 Å; angles 90.00, 90.00, 90.00 degrees
Space group Ama2 (No. 40)
One atom of each set of equivalent atoms:
1 Tm 0.2500 0.1733 0.0000 x4
2 Ge 0.2500 0.3810 0.9224 x4
3 Se 0.2500 0.0795 0.2967 x4
4 Se 0.2500 0.2789 0.7514 x4
5 Se 0.2500 0.3815 0.3018 x4

Top 10 peaks for 2θ = 10–80°, sorted by position:
- hkl 0 4 0, 2θ = 15.83°, I 89
- hkl 0 3 1, 2θ = 18.17°, I 74
- hkl 0 5 1, 2θ = 24.19°, I 53
- hkl 1 1 1, 2θ = 24.85°, I 98
- hkl 1 3 1, 2θ = 27.32°, I 88
- hkl 1 5 1, 2θ = 31.73°, I 50
- hkl 0 6 2, 2θ = 36.83°, I 49
- hkl 1 4 2, 2θ = 38.16°, I 100
- hkl 2 0 0, 2θ = 41.11°, I 54
- hkl 1 10 0, 2θ = 45.46°, I 75



(3)
Theoretical powder diffractogram of UGe3Se6 for CuKα, from a structure optimized by DFT (PBE).
Peak positions follow from Bragg's law for the DFT cell and can differ from measured ones.

Cell lengths 11.8693, 3.8244, 12.0043 Å; angles 90.00, 110.64, 90.00 degrees
Space group P2_1/m (No. 11)
One atom of each set of equivalent atoms:
1 U 0.1940 0.2500 0.0431 x2
2 Ge 0.0628 0.7500 0.3135 x2
3 Ge 0.3539 0.2500 0.4900 x2
4 Ge 0.3623 0.7500 0.8344 x2
5 Se 0.0310 0.7500 0.8973 x2
6 Se 0.1306 0.2500 0.4687 x2
7 Se 0.2129 0.2500 0.7948 x2
8 Se 0.2377 0.7500 0.2345 x2
9 Se 0.3811 0.7500 0.0585 x2
10 Se 0.4273 0.7500 0.6408 x2

Top 10 peaks for 2θ = 10–80°, sorted by position:
- hkl 2 0 1, 2θ = 20.18°, I 34
- hkl 2 1 0, 2θ = 28.33°, I 31
- hkl 4 0 -2, 2θ = 30.47°, I 37
- hkl 1 1 2, 2θ = 30.93°, I 100
- hkl 3 1 -1, 2θ = 32.56°, I 24
- hkl 0 1 3, 2θ = 33.49°, I 39
- hkl 3 1 -4, 2θ = 40.37°, I 30
- hkl 4 1 1, 2θ = 43.26°, I 23
- hkl 1 0 5, 2θ = 43.84°, I 35
- hkl 0 2 0, 2θ = 47.54°, I 38



(4)
Theoretical powder diffractogram of UGeSe3 for CuKα, from a structure optimized by DFT (PBE).
Peak positions follow from Bragg's law for the DFT cell and can differ from measured ones.

Cell lengths 10.6038, 4.0191, 15.2403 Å; angles 90.00, 90.00, 90.00 degrees
Space group Pnma (No. 62)
One atom of each set of equivalent atoms:
1 U 0.1596 0.2500 0.0441 x4
2 Ge 0.0652 0.2500 0.6284 x4
3 Se 0.0036 0.2500 0.8929 x4
4 Se 0.1738 0.2500 0.4788 x4
5 Se 0.1929 0.7500 0.6959 x4

Top 10 peaks for 2θ = 10–80°, sorted by position:
- hkl 1 0 1, 2θ = 10.16°, I 38
- hkl 0 0 2, 2θ = 11.61°, I 100
- hkl 1 0 2, 2θ = 14.31°, I 65
- hkl 2 1 0, 2θ = 27.85°, I 44
- hkl 2 1 1, 2θ = 28.48°, I 33
- hkl 2 1 2, 2θ = 30.27°, I 69
- hkl 2 0 5, 2θ = 33.92°, I 28
- hkl 0 1 5, 2θ = 37.02°, I 30
- hkl 3 1 4, 2θ = 41.47°, I 32
- hkl 0 1 7, 2θ = 47.51°, I 44



(5)
Theoretical powder diffractogram of Ge2W2Se for CuKα, from a structure optimized by DFT (PBE).
Peak positions follow from Bragg's law for the DFT cell and can differ from measured ones.

Cell lengths 7.1627, 7.1627, 3.2729 Å; angles 90.00, 90.00, 90.00 degrees
Space group P4/mbm (No. 127)
One atom of each set of equivalent atoms:
1 Ge 0.1399 0.3601 0.0000 x4
2 W 0.1520 0.6520 0.5000 x4
3 Se 0.0000 0.0000 0.5000 x2

Top 10 peaks for 2θ = 10–80°, sorted by position:
- hkl 1 1 0, 2θ = 17.51°, I 13
- hkl 0 0 1, 2θ = 27.25°, I 18
- hkl 2 1 0, 2θ = 27.85°, I 22
- hkl 2 1 1, 2θ = 39.36°, I 100
- hkl 3 1 0, 2θ = 39.80°, I 42
- hkl 3 1 1, 2θ = 48.90°, I 14
- hkl 0 0 2, 2θ = 56.21°, I 10
- hkl 4 1 1, 2θ = 60.32°, I 10
- hkl 3 1 2, 2θ = 71.07°, I 15
- hkl 5 2 1, 2θ = 77.46°, I 21



(6)
Theoretical powder diffractogram of YGe2Se6 for CuKα, from a structure optimized by DFT (PBE).
Peak positions follow from Bragg's law for the DFT cell and can differ from measured ones.

Cell lengths 12.5118, 12.1129, 6.6573 Å; angles 90.00, 99.08, 90.00 degrees
Space group C2/c (No. 15)
One atom of each set of equivalent atoms:
1 Y 0.0000 0.1130 0.2500 x4
2 Ge 0.1932 0.4246 0.3004 x8
3 Se 0.1124 0.0888 0.6625 x8
4 Se 0.1284 0.2743 0.0856 x8
5 Se 0.1292 0.4065 0.6232 x8

Top 10 peaks for 2θ = 10–80°, sorted by position:
- hkl 3 1 0, 2θ = 22.81°, I 65
- hkl 1 3 1, 2θ = 27.48°, I 100
- hkl 2 0 -2, 2θ = 28.68°, I 44
- hkl 4 0 0, 2θ = 28.91°, I 41
- hkl 3 3 -1, 2θ = 32.51°, I 67
- hkl 2 0 2, 2θ = 32.84°, I 47
- hkl 0 6 0, 2θ = 44.90°, I 32
- hkl 1 3 -3, 2θ = 46.72°, I 60
- hkl 5 3 1, 2θ = 47.02°, I 82
- hkl 6 0 -2, 2θ = 48.31°, I 28



(7)
Theoretical powder diffractogram of Y4GeSe2 for CuKα, from a structure optimized by DFT (PBE).
Peak positions follow from Bragg's law for the DFT cell and can differ from measured ones.

Cell lengths 4.0617, 13.1203, 13.6014 Å; angles 90.00, 90.00, 90.00 degrees
Space group Cmcm (No. 63)
One atom of each set of equivalent atoms:
1 Y 0.0000 0.0000 0.0000 x4
2 Y 0.0000 0.2792 0.1269 x8
3 Y 0.0000 0.4506 0.7500 x4
4 Ge 0.0000 0.1076 0.7500 x4
5 Se 0.0000 0.3614 0.5630 x8

Top 10 peaks for 2θ = 10–80°, sorted by position:
- hkl 0 2 4, 2θ = 29.59°, I 86
- hkl 1 3 0, 2θ = 30.03°, I 37
- hkl 1 3 1, 2θ = 30.75°, I 100
- hkl 1 3 2, 2θ = 32.85°, I 78
- hkl 1 1 5, 2θ = 40.50°, I 60
- hkl 1 5 2, 2θ = 43.15°, I 23
- hkl 2 0 0, 2θ = 44.62°, I 39
- hkl 1 5 3, 2θ = 45.77°, I 33
- hkl 0 6 3, 2θ = 46.08°, I 30
- hkl 2 2 4, 2θ = 54.45°, I 29



Please write out number 4 again, unchanged.
Theoretical powder diffractogram of UGeSe3 for CuKα, from a structure optimized by DFT (PBE).
Peak positions follow from Bragg's law for the DFT cell and can differ from measured ones.

Cell lengths 10.6038, 4.0191, 15.2403 Å; angles 90.00, 90.00, 90.00 degrees
Space group Pnma (No. 62)
One atom of each set of equivalent atoms:
1 U 0.1596 0.2500 0.0441 x4
2 Ge 0.0652 0.2500 0.6284 x4
3 Se 0.0036 0.2500 0.8929 x4
4 Se 0.1738 0.2500 0.4788 x4
5 Se 0.1929 0.7500 0.6959 x4

Top 10 peaks for 2θ = 10–80°, sorted by position:
- hkl 1 0 1, 2θ = 10.16°, I 38
- hkl 0 0 2, 2θ = 11.61°, I 100
- hkl 1 0 2, 2θ = 14.31°, I 65
- hkl 2 1 0, 2θ = 27.85°, I 44
- hkl 2 1 1, 2θ = 28.48°, I 33
- hkl 2 1 2, 2θ = 30.27°, I 69
- hkl 2 0 5, 2θ = 33.92°, I 28
- hkl 0 1 5, 2θ = 37.02°, I 30
- hkl 3 1 4, 2θ = 41.47°, I 32
- hkl 0 1 7, 2θ = 47.51°, I 44